Simulated powder diffraction line list of HgCSNCl for Cu Kα, 1.54184 Å, from the GGA-PBE geometry in OQMD.

The 8 most intense peaks (15 to 90 degrees two-theta), in order of rising 2θ:
2θ 18.89, I 40; 2θ 19.29, I 62; 2θ 22.92, I 43; 2θ 24.43, I 100; 2θ 28.80, I 65; 2θ 33.90, I 94; 2θ 37.69, I 40; 2θ 49.05, I 36

Crystal structure
Cell lengths 10.579, 4.194, 10.218 Å; angles 90.00, 90.00, 90.00 degrees
Sites, in units of the cell vectors:
1 Hg 0.141 0.250 0.096
2 Hg 0.359 0.750 0.596
3 Hg 0.641 0.250 0.404
4 Hg 0.859 0.750 0.904
5 C 0.150 0.750 0.385
6 C 0.350 0.250 0.885
7 C 0.650 0.750 0.115
8 C 0.850 0.250 0.615
9 S 0.136 0.750 0.547
10 S 0.364 0.250 0.047
11 S 0.636 0.750 0.953
12 S 0.864 0.250 0.453
13 N 0.151 0.750 0.270
14 N 0.349 0.250 0.770
15 N 0.651 0.750 0.230
16 N 0.849 0.250 0.730
17 Cl 0.084 0.750 0.873
18 Cl 0.416 0.250 0.373
19 Cl 0.584 0.750 0.627
20 Cl 0.916 0.250 0.127

***

Simulated powder diffraction line list of Ho4CI2Cl3 for Cu Kα, 1.54184 Å, from the GGA-PBE geometry in OQMD.

The 8 most intense peaks (15 to 90 degrees two-theta), in order of rising 2θ:
2θ 26.24, I 22; 2θ 29.98, I 42; 2θ 32.84, I 100; 2θ 34.44, I 62; 2θ 34.85, I 31; 2θ 44.60, I 25; 2θ 45.51, I 19; 2θ 47.94, I 20

Crystal structure
Cell lengths 9.301, 9.301, 7.847 Å; angles 100.62, 100.62, 23.54 degrees
Sites, in units of the cell vectors:
1 Ho 0.002 0.002 0.292
2 Ho 0.367 0.367 0.429
3 Ho 0.633 0.633 0.571
4 Ho 0.998 0.998 0.708
5 C 0.500 0.500 0.500
6 I 0.174 0.174 0.299
7 I 0.826 0.826 0.701
8 Cl 0.150 0.150 0.822
9 Cl 0.500 0.500 0.000
10 Cl 0.850 0.850 0.178

***

Simulated powder diffraction line list of Ho4CI2Cl3 for Cu Kα, 1.54184 Å, from the GGA-PBE geometry in OQMD.

The 8 most intense peaks (15 to 90 degrees two-theta), in order of rising 2θ:
2θ 29.17, I 22; 2θ 30.54, I 44; 2θ 31.32, I 41; 2θ 32.64, I 100; 2θ 34.77, I 41; 2θ 37.87, I 21; 2θ 44.62, I 22; 2θ 45.98, I 26

Crystal structure
Cell lengths 9.130, 9.130, 7.921 Å; angles 100.22, 100.22, 24.06 degrees
Sites, in units of the cell vectors:
1 Ho 0.004 0.004 0.295
2 Ho 0.365 0.365 0.438
3 Ho 0.635 0.635 0.562
4 Ho 0.996 0.996 0.705
5 C 0.500 0.500 0.500
6 I 0.166 0.166 0.859
7 I 0.834 0.834 0.141
8 Cl 0.166 0.166 0.338
9 Cl 0.500 0.500 0.000
10 Cl 0.834 0.834 0.662

***

Simulated powder diffraction line list of Ho4CICl4 for Cu Kα, 1.54184 Å, from the GGA-PBE geometry in OQMD.

The 8 most intense peaks (15 to 90 degrees two-theta), in order of rising 2θ:
2θ 21.69, I 23; 2θ 28.69, I 21; 2θ 29.21, I 30; 2θ 31.80, I 100; 2θ 32.24, I 39; 2θ 32.80, I 44; 2θ 46.26, I 25; 2θ 46.40, I 26

Crystal structure
Cell lengths 8.674, 8.674, 8.413 Å; angles 104.27, 104.27, 25.21 degrees
Sites, in units of the cell vectors:
1 Ho 0.000 0.000 0.192
2 Ho 0.000 0.000 0.808
3 Ho 0.355 0.355 0.923
4 Ho 0.645 0.645 0.077
5 C 0.500 0.500 0.000
6 I 0.500 0.500 0.500
7 Cl 0.167 0.167 0.313
8 Cl 0.171 0.171 0.859
9 Cl 0.829 0.829 0.141
10 Cl 0.833 0.833 0.687

***

Question: Number 1 is which compound?
Answer: HgCSNCl